Theoretical X-ray powder pattern
Compound: Y2TmCu4Si2Ge2
Radiation: CuKα
Structure: the PBE geometry in OQMD
Peak positions follow from Bragg's law for the DFT cell and can differ from measured ones.

Lattice parameters (Å, degrees): 4.138 6.581 13.800 90.00 90.00 90.00
Space group Immm (No. 71)
Symmetry-distinct sites (fractional):
1 Y 0.000 0.000 0.130
2 Tm 0.000 0.500 0.000
3 Cu 0.000 0.190 0.326
4 Si 0.000 0.500 0.216
5 Ge 0.000 0.305 0.500

Main lines, sorted by position (2θ = 15–90°):
h k l, 2θ/deg, Rel. int.
1 1 2, 28.58, 37
0 1 5, 35.26, 23
1 2 1, 35.46, 100
1 1 4, 36.55, 77
0 0 6, 39.18, 34
2 0 0, 43.75, 36
0 3 3, 45.83, 39
2 3 3, 65.22, 26


Theoretical X-ray powder pattern
Compound: Y2Cu2SiGe
Radiation: CuKα
Structure: the PBE geometry in OQMD
Peak positions follow from Bragg's law for the DFT cell and can differ from measured ones.

Lattice parameters (Å, degrees): 4.1805 4.1805 7.5305 90.00 90.00 120.00
Space group P-6m2 (No. 187)
Symmetry-distinct sites (fractional):
1 Y 0.0000 0.0000 0.2478
2 Cu 0.3333 0.6667 0.0000
3 Cu 0.6667 0.3333 0.5000
4 Si 0.6667 0.3333 0.0000
5 Ge 0.3333 0.6667 0.5000

Main lines, sorted by position (2θ = 15–90°):
h k l, 2θ/deg, Rel. int.
1 0 2, 34.36, 100
1 1 0, 43.29, 50
0 0 4, 48.35, 12
2 0 2, 56.40, 23
1 1 4, 66.88, 26
2 1 2, 73.66, 20
3 0 0, 79.41, 8
1 0 6, 81.10, 8


Theoretical X-ray powder pattern
Compound: Y3Cu4Si2Ge2
Radiation: CuKα
Structure: the PBE geometry in OQMD
Peak positions follow from Bragg's law for the DFT cell and can differ from measured ones.

Lattice parameters (Å, degrees): 4.151 6.619 13.855 90.00 90.00 90.00
Space group Immm (No. 71)
Symmetry-distinct sites (fractional):
1 Y 0.000 0.000 0.000
2 Y 0.000 0.500 0.130
3 Cu 0.000 0.311 0.327
4 Si 0.000 0.000 0.217
5 Ge 0.000 0.192 0.500

Main lines, sorted by position (2θ = 15–90°):
h k l, 2θ/deg, Rel. int.
1 1 2, 28.46, 25
0 1 5, 35.11, 18
1 2 1, 35.28, 100
1 1 4, 36.41, 78
0 0 6, 39.04, 46
2 0 0, 43.60, 42
0 3 3, 45.57, 43
2 3 3, 64.90, 28


Theoretical X-ray powder pattern
Compound: Y3Cu4Si2Ge2
Radiation: CuKα
Structure: the PBE geometry in OQMD
Peak positions follow from Bragg's law for the DFT cell and can differ from measured ones.

Lattice parameters (Å, degrees): 4.186 6.602 13.782 90.00 90.00 90.00
Space group Immm (No. 71)
Symmetry-distinct sites (fractional):
1 Y 0.000 0.000 0.000
2 Y 0.000 0.500 0.130
3 Cu 0.000 0.311 0.337
4 Si 0.000 0.183 0.500
5 Ge 0.000 0.000 0.217

Main lines, sorted by position (2θ = 15–90°):
h k l, 2θ/deg, Rel. int.
1 2 1, 35.25, 100
1 1 4, 36.41, 90
0 0 6, 39.22, 15
1 2 3, 39.94, 30
2 0 0, 43.22, 38
0 3 3, 45.71, 22
1 2 5, 48.21, 15
2 3 3, 64.73, 15


Theoretical X-ray powder pattern
Compound: Sm2Cu3Ge5
Radiation: CuKα
Structure: the PBE geometry in OQMD
Peak positions follow from Bragg's law for the DFT cell and can differ from measured ones.

Lattice parameters (Å, degrees): 11.670 12.169 6.099 90.00 121.40 90.00
Space group C2/c (No. 15)
Symmetry-distinct sites (fractional):
1 Sm 0.236 0.127 0.236
2 Cu 0.000 0.500 0.250
3 Cu 0.109 0.141 0.600
4 Ge 0.000 0.004 0.750
5 Ge 0.000 0.272 0.750
6 Ge 0.000 0.276 0.250
7 Ge 0.156 0.396 0.153

Main lines, sorted by position (2θ = 15–90°):
h k l, 2θ/deg, Rel. int.
2 0 -2, 29.32, 18
2 2 1, 34.09, 55
4 0 -2, 34.52, 100
2 4 -2, 41.95, 54
6 2 -1, 50.47, 19
0 2 3, 55.08, 14
4 6 -1, 55.16, 12
6 4 -4, 71.88, 14


Theoretical X-ray powder pattern
Compound: SmY2Cu4Sn2Ge2
Radiation: CuKα
Structure: the PBE geometry in OQMD
Peak positions follow from Bragg's law for the DFT cell and can differ from measured ones.

Lattice parameters (Å, degrees): 4.365 6.763 14.557 90.00 90.00 90.00
Space group Immm (No. 71)
Symmetry-distinct sites (fractional):
1 Sm 0.000 0.000 0.000
2 Y 0.000 0.500 0.125
3 Cu 0.000 0.312 0.341
4 Sn 0.000 0.000 0.219
5 Ge 0.000 0.189 0.500

Main lines, sorted by position (2θ = 15–90°):
h k l, 2θ/deg, Rel. int.
0 1 5, 33.51, 28
1 2 1, 34.10, 77
1 1 4, 34.72, 100
2 0 0, 41.37, 39
0 3 3, 44.30, 18
1 2 5, 46.09, 21
0 4 0, 54.25, 20
1 5 4, 78.56, 15


Theoretical X-ray powder pattern
Compound: SmY2Cu4Ge4
Radiation: CuKα
Structure: the PBE geometry in OQMD
Peak positions follow from Bragg's law for the DFT cell and can differ from measured ones.

Lattice parameters (Å, degrees): 4.217 6.719 14.038 90.00 90.00 90.00
Space group Immm (No. 71)
Symmetry-distinct sites (fractional):
1 Sm 0.000 0.000 0.000
2 Y 0.000 0.500 0.130
3 Cu 0.000 0.311 0.332
4 Ge 0.000 0.000 0.218
5 Ge 0.000 0.189 0.500

Main lines, sorted by position (2θ = 15–90°):
h k l, 2θ/deg, Rel. int.
0 1 5, 34.63, 28
1 2 1, 34.73, 98
1 1 4, 35.87, 100
0 0 6, 38.48, 25
2 0 0, 42.89, 43
0 3 3, 44.87, 32
1 2 5, 47.38, 28
2 3 3, 63.81, 22


Theoretical X-ray powder pattern
Compound: Y2Cu2SnGe
Radiation: CuKα
Structure: the PBE geometry in OQMD
Peak positions follow from Bragg's law for the DFT cell and can differ from measured ones.

Lattice parameters (Å, degrees): 11.020 4.500 11.026 90.00 109.47 90.00
Space group Pm (No. 6)
Symmetry-distinct sites (fractional):
1 Y 0.000 0.000 0.000
2 Y 0.117 0.500 0.373
3 Y 0.241 0.000 0.747
4 Y 0.375 0.500 0.122
5 Y 0.506 0.000 0.494
6 Y 0.632 0.500 0.879
7 Y 0.754 0.000 0.252
8 Y 0.877 0.500 0.619
9 Cu 0.122 0.500 0.623
10 Cu 0.246 0.000 0.995
11 Cu 0.376 0.500 0.373
12 Cu 0.499 0.000 0.747
13 Cu 0.630 0.500 0.130
14 Cu 0.754 0.000 0.496
15 Cu 0.882 0.500 0.875
16 Cu 0.997 0.000 0.248
17 Sn 0.250 0.000 0.249
18 Sn 0.376 0.500 0.623
19 Sn 0.501 0.000 0.998
20 Sn 0.752 0.000 0.748
21 Ge 0.123 0.500 0.873
22 Ge 0.627 0.500 0.372
23 Ge 0.875 0.500 0.125
24 Ge 0.998 0.000 0.497

Main lines, sorted by position (2θ = 15–90°):
h k l, 2θ/deg, Rel. int.
3 0 -1, 24.22, 19
2 0 2, 28.04, 28
0 2 0, 40.08, 100
3 2 -1, 47.38, 9
4 2 -4, 57.97, 16
2 3 -2, 65.61, 10
0 3 4, 72.81, 32
0 4 0, 86.51, 10


Theoretical X-ray powder pattern
Compound: ZrTaCu2Ge4
Radiation: CuKα
Structure: the PBE geometry in OQMD
Peak positions follow from Bragg's law for the DFT cell and can differ from measured ones.

Lattice parameters (Å, degrees): 3.737 3.737 9.111 90.00 90.00 90.00
Space group P4mm (No. 99)
Symmetry-distinct sites (fractional):
1 Zr 0.000 0.000 0.000
2 Ta 0.500 0.500 0.535
3 Cu 0.000 0.500 0.269
4 Ge 0.000 0.000 0.449
5 Ge 0.000 0.500 0.760
6 Ge 0.500 0.500 0.089

Main lines, sorted by position (2θ = 15–90°):
h k l, 2θ/deg, Rel. int.
1 0 1, 25.77, 13
1 0 2, 30.95, 17
1 0 3, 38.19, 13
1 1 2, 39.42, 100
0 0 4, 39.57, 15
2 0 0, 48.74, 32
2 0 4, 64.51, 14
3 1 2, 84.77, 27


Theoretical X-ray powder pattern
Compound: TbTm2Cu4Ge4
Radiation: CuKα
Structure: the PBE geometry in OQMD
Peak positions follow from Bragg's law for the DFT cell and can differ from measured ones.

Lattice parameters (Å, degrees): 4.171 6.676 13.880 90.00 90.00 90.00
Space group Immm (No. 71)
Symmetry-distinct sites (fractional):
1 Tb 0.000 0.000 0.000
2 Tm 0.000 0.500 0.130
3 Cu 0.000 0.309 0.331
4 Ge 0.000 0.000 0.217
5 Ge 0.000 0.190 0.500

Main lines, sorted by position (2θ = 15–90°):
h k l, 2θ/deg, Rel. int.
1 2 1, 35.03, 100
1 1 4, 36.26, 85
0 0 6, 38.94, 16
2 0 0, 43.39, 31
0 3 3, 45.21, 24
2 3 3, 64.44, 22
3 1 4, 74.94, 13
1 5 4, 80.43, 13


Theoretical X-ray powder pattern
Compound: Tb2YCu4Ge4
Radiation: CuKα
Structure: the PBE geometry in OQMD
Peak positions follow from Bragg's law for the DFT cell and can differ from measured ones.

Lattice parameters (Å, degrees): 4.214 6.663 13.971 90.00 90.00 90.00
Space group Immm (No. 71)
Symmetry-distinct sites (fractional):
1 Tb 0.000 0.000 0.130
2 Y 0.000 0.500 0.000
3 Cu 0.000 0.190 0.331
4 Ge 0.000 0.308 0.500
5 Ge 0.000 0.500 0.217

Main lines, sorted by position (2θ = 15–90°):
h k l, 2θ/deg, Rel. int.
0 1 5, 34.82, 26
1 2 1, 34.93, 90
1 1 4, 36.02, 100
0 0 6, 38.67, 24
1 2 3, 39.54, 23
2 0 0, 42.92, 41
0 3 3, 45.23, 28
2 3 3, 64.12, 19


Theoretical X-ray powder pattern
Compound: Zr3CuGe5
Radiation: CuKα
Structure: the PBE geometry in OQMD
Peak positions follow from Bragg's law for the DFT cell and can differ from measured ones.

Lattice parameters (Å, degrees): 5.7015 5.7015 6.9721 90.00 90.00 120.00
Space group P6/mmm (No. 191)
Symmetry-distinct sites (fractional):
1 Zr 0.0000 0.5000 0.0000
2 Cu 0.0000 0.0000 0.5000
3 Ge 0.0000 0.0000 0.0000
4 Ge 0.3333 0.6667 0.3298

Main lines, sorted by position (2θ = 15–90°):
h k l, 2θ/deg, Rel. int.
1 1 0, 31.39, 77
1 1 1, 33.97, 42
2 0 0, 36.39, 24
0 0 3, 38.71, 100
1 0 3, 43.01, 22
2 0 2, 44.99, 89
2 2 0, 65.52, 55
2 2 3, 78.75, 31


Theoretical X-ray powder pattern
Compound: Cu2H5
Radiation: CuKα
Structure: the PBE geometry in OQMD
Peak positions follow from Bragg's law for the DFT cell and can differ from measured ones.

Lattice parameters (Å, degrees): 3.129 4.283 4.303 96.30 108.98 109.13
Space group P-1 (No. 2)
Symmetry-distinct sites (fractional):
1 Cu 0.000 0.000 0.000
2 Cu 0.000 0.500 0.500
3 H 0.012 0.260 0.762
4 H 0.323 0.311 0.350
5 H 0.500 0.000 0.000

Main lines, sorted by position (2θ = 15–90°):
h k l, 2θ/deg, Rel. int.
0 1 -1, 27.90, 100
1 0 0, 32.82, 64
-1 1 1, 34.86, 54
0 1 1, 35.96, 52
1 -1 1, 43.53, 26
1 1 -1, 43.69, 26
1 0 -2, 45.17, 24
1 -2 0, 45.29, 24